Diffraction record for AgH6C4N2O2. The powder diffractogram is theoretical, not measured: it uses a DFT-relaxed cell (PBE, the Materials Project) and a wavelength of 1.5418 Å.
Intensities are scaled so that the largest is 100.

Largest 10 diffraction maxima, in order of rising 2θ, 10 to 90 degrees two-theta:
| 2θ (°) | Rel. int. | index |
| --- | --- | --- |
| 14.5 | 17.1 | 0 1 1 |
| 19.0 | 100.0 | 0 1 2 |
| 19.7 | 39.9 | 1 1 -1 |
| 20.2 | 44.4 | 1 1 1 |
| 27.5 | 16.6 | 2 0 0 |
| 29.1 | 20.6 | 1 2 0 |
| 29.3 | 25.9 | 0 2 2 |
| 38.8 | 19.8 | 2 0 -4 |
| 41.1 | 17.8 | 2 2 2 |
| 43.6 | 18.2 | 3 0 -2 |

Lattice parameters (Å, degrees): 6.4999 6.9601 12.6407 90.00 92.84 90.00
Space group P2/c (No. 13)
Unique sites:
Ag1 0.0000 0.0000 0.0000 [2 per cell]
Ag2 0.5000 0.3007 0.2500 [2 per cell]
H1 0.0058 0.2979 0.3206 [4 per cell]
H2 0.1370 0.0300 0.7507 [4 per cell]
H3 0.1705 0.4582 0.5841 [4 per cell]
H4 0.2038 0.4561 0.9168 [4 per cell]
H5 0.3138 0.2759 0.6529 [4 per cell]
H6 0.3302 0.2735 0.8461 [4 per cell]
C1 0.0000 0.1223 0.7500 [2 per cell]
C2 0.0000 0.3896 0.2500 [2 per cell]
C3 0.1760 0.3666 0.6549 [4 per cell]
C4 0.1929 0.3654 0.8456 [4 per cell]
C5 0.4929 0.0716 0.4511 [4 per cell]
N1 0.0082 0.2422 0.8471 [4 per cell]
N2 0.1892 0.4906 0.7505 [4 per cell]
O1 0.3184 0.1431 0.4240 [4 per cell]
O2 0.3430 0.1070 0.0960 [4 per cell]

***

Diffraction record for Zr9BW4. The powder diffractogram is theoretical, not measured: it uses a DFT-relaxed cell (PBE, the Materials Project) and a wavelength of 1.5418 Å.
Intensities are scaled so that the largest is 100.

Largest 10 diffraction maxima, in order of rising 2θ, 10 to 90 degrees two-theta:
| 2θ (°) | Rel. int. | index |
| --- | --- | --- |
| 10.2 | 100.0 | 1 1 0 |
| 14.5 | 25.9 | 0 2 0 |
| 31.0 | 84.3 | 3 1 2 |
| 32.7 | 97.4 | 3 3 1 |
| 37.4 | 44.5 | 2 2 3 |
| 38.9 | 39.3 | 2 4 2 |
| 43.1 | 51.5 | 1 5 2 |
| 44.4 | 37.6 | 6 0 0 |
| 57.3 | 25.1 | 5 5 2 |
| 62.5 | 32.8 | 3 3 5 |

Lattice parameters (Å, degrees): 12.2511 12.2514 8.6630 90.00 90.00 90.00
Space group Cmcm (No. 63)
Unique sites:
Zr1 0.0000 0.0378 0.2500 [4 per cell]
Zr2 0.0000 0.2971 0.5550 [8 per cell]
Zr3 0.1932 0.2311 0.2500 [8 per cell]
Zr4 0.1956 0.1015 0.5550 [16 per cell]
B1 0.0000 0.1667 0.7500 [4 per cell]
W1 0.0000 0.3906 0.2500 [4 per cell]
W2 0.0000 0.5000 0.0000 [4 per cell]
W3 0.1641 0.4453 0.7500 [8 per cell]

***

Diffraction record for KTlF4. The powder diffractogram is theoretical, not measured: it uses a DFT-relaxed cell (PBE, the Materials Project) and a wavelength of 1.5418 Å.
Intensities are scaled so that the largest is 100.

Largest 10 diffraction maxima, in order of rising 2θ, 10 to 90 degrees two-theta:
| 2θ (°) | Rel. int. | index |
| --- | --- | --- |
| 12.4 | 22.1 | 1 0 0 |
| 15.1 | 56.7 | 0 1 1 |
| 21.2 | 28.4 | 1 0 2 |
| 25.7 | 36.0 | 0 0 3 |
| 26.5 | 100.0 | 0 2 1 |
| 30.5 | 43.3 | 2 0 2 |
| 43.1 | 37.9 | 0 2 4 |
| 44.1 | 31.0 | 2 2 0 |
| 51.7 | 29.8 | 2 2 3 |
| 52.2 | 18.6 | 4 0 1 |

Lattice parameters (Å, degrees): 8.2167 8.2167 10.3870 90.00 90.00 120.00
Space group P3_1 (No. 144)
Unique sites:
K1 0.0180 0.8353 0.0000 [3 per cell]
K2 0.5034 0.3564 0.0218 [3 per cell]
Tl1 0.1558 0.6681 0.3425 [3 per cell]
Tl2 0.3268 0.0227 0.6785 [3 per cell]
F1 0.0123 0.4034 0.2293 [3 per cell]
F2 0.0421 0.8667 0.7437 [3 per cell]
F3 0.0674 0.3383 0.7893 [3 per cell]
F4 0.1457 0.4632 0.4971 [3 per cell]
F5 0.2133 0.1964 0.5835 [3 per cell]
F6 0.2711 0.5528 0.0157 [3 per cell]
F7 0.4534 0.3182 0.7715 [3 per cell]
F8 0.5271 0.3890 0.2825 [3 per cell]

***

Diffraction record for CaBi2C2O2. The powder diffractogram is theoretical, not measured: it uses a DFT-relaxed cell (PBE, the Materials Project) and a wavelength of 1.5418 Å.
Intensities are scaled so that the largest is 100.

Largest 10 diffraction maxima, in order of rising 2θ, 10 to 90 degrees two-theta:
| 2θ (°) | Rel. int. | index |
| --- | --- | --- |
| 24.1 | 39.0 | 1 0 1 |
| 27.6 | 100.0 | 1 0 3 |
| 28.2 | 25.5 | 0 0 6 |
| 33.5 | 50.5 | 1 0 5 |
| 33.7 | 41.0 | 1 1 0 |
| 44.5 | 40.9 | 1 1 6 |
| 48.4 | 19.4 | 2 0 0 |
| 56.6 | 28.2 | 2 1 3 |
| 58.8 | 17.3 | 1 0 11 |
| 60.2 | 19.5 | 2 1 5 |

Lattice parameters (Å, degrees): 3.7599 3.7599 18.9957 90.00 90.00 90.00
Space group I4/mmm (No. 139)
Unique sites:
Ca1 0.0000 0.0000 0.0000 [2 per cell]
Bi1 0.0000 0.0000 0.1774 [4 per cell]
C1 0.0000 0.0000 0.4661 [4 per cell]
O1 0.0000 0.5000 0.2500 [4 per cell]

***

Diffraction record for Ce2InAg. The powder diffractogram is theoretical, not measured: it uses a DFT-relaxed cell (PBE, the Materials Project) and a wavelength of 1.5418 Å.
Intensities are scaled so that the largest is 100.

Largest 10 diffraction maxima, in order of rising 2θ, 10 to 90 degrees two-theta:
| 2θ (°) | Rel. int. | index |
| --- | --- | --- |
| 33.3 | 100.0 | 1 0 2 |
| 33.6 | 49.4 | 1 1 0 |
| 47.5 | 8.9 | 0 0 4 |
| 48.2 | 17.6 | 2 0 0 |
| 59.4 | 18.0 | 1 1 4 |
| 59.9 | 36.0 | 2 1 2 |
| 70.0 | 10.9 | 2 0 4 |
| 79.3 | 7.5 | 1 0 6 |
| 80.3 | 7.7 | 3 0 2 |
| 80.5 | 7.7 | 3 1 0 |

Lattice parameters (Å, degrees): 3.7750 3.7750 7.6518 90.00 90.00 90.00
Space group P4/mmm (No. 123)
Unique sites:
Ce1 0.0000 0.0000 0.2410 [2 per cell]
In1 0.5000 0.5000 0.5000 [1 per cell]
Ag1 0.5000 0.5000 0.0000 [1 per cell]

***

Diffraction record for HfUTa2C4. The powder diffractogram is theoretical, not measured: it uses a DFT-relaxed cell (PBE, the Materials Project) and a wavelength of 1.5418 Å.
Intensities are scaled so that the largest is 100.

Largest 10 diffraction maxima, in order of rising 2θ, 10 to 90 degrees two-theta:
| 2θ (°) | Rel. int. | index |
| --- | --- | --- |
| 32.8 | 35.1 | 0 0 12 |
| 33.9 | 100.0 | 1 0 4 |
| 39.0 | 83.9 | 0 1 8 |
| 55.6 | 28.0 | 1 0 16 |
| 57.1 | 28.3 | 1 1 0 |
| 66.1 | 13.9 | 0 1 20 |
| 67.4 | 28.2 | 1 1 12 |
| 68.0 | 14.2 | 0 2 4 |
| 71.3 | 14.4 | 2 0 8 |
| 83.8 | 9.0 | 0 2 16 |

Lattice parameters (Å, degrees): 3.2280 3.2280 32.7727 90.00 90.00 120.00
Space group R3m (No. 160, hexagonal axes)
Unique sites:
Hf1 0.0000 0.0000 0.0000 [3 per cell]
U1 0.0000 0.0000 0.7552 [3 per cell]
Ta1 0.0000 0.0000 0.2534 [3 per cell]
Ta2 0.0000 0.0000 0.5078 [3 per cell]
C1 0.0000 0.0000 0.1370 [3 per cell]
C2 0.0000 0.0000 0.3749 [3 per cell]
C3 0.0000 0.0000 0.6246 [3 per cell]
C4 0.0000 0.0000 0.8810 [3 per cell]